(1)
Mn7BiO12: simulated powder diffraction line list (Cu Ka), based on a GGA+U-relaxed structure.
Kinematic intensities with the Lorentz-polarization factor, no thermal factor.

Top 10 peaks for 10° ≤ 2θ ≤ 90°, sorted by position:
2θ 16.51, rel. 380; 2θ 28.79, rel. 196; 2θ 33.37, rel. 1000; 2θ 37.41, rel. 142; 2θ 44.62, rel. 171; 2θ 47.81, rel. 79; 2θ 47.96, rel. 164; 2θ 59.61, rel. 294; 2θ 59.70, rel. 156; 2θ 70.05, rel. 73

Structure:
```
Mn7BiO12
1.0
5.373 -3.791 0.000
5.373 3.791 0.000
-5.362 0.000 5.377
Mn Bi O
7 1 12
direct
0.000 0.000 0.000
0.004 0.004 0.504
0.004 0.505 0.499
0.495 0.495 0.489
0.504 0.989 0.998
0.505 0.004 0.499
0.989 0.504 0.998
0.474 0.474 0.999
0.019 0.632 0.828
0.196 0.196 0.520
0.201 0.201 0.872
0.320 0.679 0.678
0.328 0.675 0.301
0.366 0.989 0.172
0.632 0.019 0.828
0.675 0.328 0.301
0.679 0.320 0.678
0.819 0.819 0.498
0.820 0.820 0.141
0.989 0.366 0.172
```

***

(2)
Mn2Bi3O7: simulated powder diffraction line list (Cu Ka), based on a GGA+U-relaxed structure.
Kinematic intensities with the Lorentz-polarization factor, no thermal factor.

Top 10 peaks for 10° ≤ 2θ ≤ 90°, sorted by position:
2θ 22.00, rel. 181; 2θ 25.03, rel. 223; 2θ 25.33, rel. 231; 2θ 26.05, rel. 280; 2θ 30.51, rel. 1000; 2θ 30.66, rel. 314; 2θ 30.91, rel. 656; 2θ 31.91, rel. 222; 2θ 43.82, rel. 278; 2θ 51.37, rel. 242

Structure:
```
Mn2Bi3O7
1.0
5.855 0.000 0.000
0.000 5.832 0.000
-2.733 0.000 10.262
Mn Bi O
4 6 14
direct
0.123 0.000 0.289
0.346 0.995 0.714
0.654 0.495 0.286
0.877 0.500 0.711
0.080 0.470 0.127
0.352 0.593 0.502
0.459 0.468 0.870
0.541 0.968 0.130
0.648 0.093 0.498
0.920 0.970 0.873
0.126 0.230 0.757
0.130 0.067 0.075
0.150 0.749 0.756
0.271 0.972 0.496
0.418 0.729 0.315
0.421 0.246 0.313
0.431 0.577 0.067
0.569 0.077 0.933
0.579 0.746 0.687
0.582 0.229 0.685
0.729 0.472 0.504
0.850 0.249 0.244
0.870 0.567 0.925
0.874 0.730 0.243
```